No. 1
Rb2FeCuF6: computed XRD peak list (Cu Kα X-rays), based on a cell relaxed with GGA+U.

Peak list (6 most intense, 15° ≤ 2θ ≤ 90°, by angle)
d/Å	I_rel	h k l
2.988	100	2 2 0
2.113	45	4 0 0
1.725	39	4 2 2
1.494	27	4 4 0
1.336	17	6 2 0
1.129	20	6 4 2

Crystal structure
a b c (Å): 8.451 8.451 8.451
angles (deg): 90.00 90.00 90.00
Space group Fm-3m (No. 225)
Unique sites:
Rb 0.250 0.250 0.250 (multiplicity 8)
Fe 0.000 0.000 0.000 (multiplicity 4)
Cu 0.000 0.000 0.500 (multiplicity 4)
F 0.000 0.000 0.238 (multiplicity 24)

---

No. 2
Na2V2CuH4O6F6: computed XRD peak list (Cu Kα X-rays), based on a cell relaxed with GGA+U.

Peak list (6 most intense, 15° ≤ 2θ ≤ 90°, by angle)
d/Å	I_rel	h k l
5.218	74	0 0 2
4.144	29	1 1 -1
4.134	23	1 1 1
3.136	100	2 1 -1
2.202	14	2 2 1
1.758	17	2 1 5

Crystal structure
a b c (Å): 8.315 5.366 10.436
angles (deg): 90.00 90.37 90.00
Space group P2_1/c (No. 14)
Unique sites:
Na 0.049 0.050 0.163 (multiplicity 4)
V 0.211 0.549 0.004 (multiplicity 4)
Cu 0.500 0.000 0.000 (multiplicity 2)
H 0.344 0.558 0.287 (multiplicity 4)
H 0.489 0.558 0.739 (multiplicity 4)
O 0.301 0.673 0.545 (multiplicity 4)
O 0.358 0.141 0.466 (multiplicity 4)
O 0.459 0.580 0.308 (multiplicity 4)
F 0.028 0.220 0.465 (multiplicity 4)
F 0.160 0.649 0.834 (multiplicity 4)
F 0.180 0.064 0.676 (multiplicity 4)

---

No. 3
Li2MnCuF6: computed XRD peak list (Cu Kα X-rays), based on a cell relaxed with GGA+U.

Peak list (6 most intense, 15° ≤ 2θ ≤ 90°, by angle)
d/Å	I_rel	h k l
4.050	100	2 0 0
2.864	30	2 2 0
2.025	36	4 0 0
1.811	37	4 2 0
1.432	19	4 4 0
1.350	15	6 0 0

Crystal structure
a b c (Å): 8.100 8.100 8.100
angles (deg): 90.00 90.00 90.00
Space group Fm-3m (No. 225)
Unique sites:
Li 0.250 0.250 0.250 (multiplicity 8)
Mn 0.000 0.000 0.000 (multiplicity 4)
Cu 0.000 0.000 0.500 (multiplicity 4)
F 0.000 0.000 0.247 (multiplicity 24)

---

No. 4
Li2CuNiF6: computed XRD peak list (Cu Kα X-rays), based on a cell relaxed with GGA+U.

Peak list (6 most intense, 15° ≤ 2θ ≤ 90°, by angle)
d/Å	I_rel	h k l
3.955	100	2 0 0
2.796	32	2 2 0
1.977	34	4 0 0
1.769	37	4 2 0
1.398	18	4 4 0
1.318	15	6 0 0

Crystal structure
a b c (Å): 7.909 7.909 7.909
angles (deg): 90.00 90.00 90.00
Space group Fm-3m (No. 225)
Unique sites:
Li 0.250 0.250 0.250 (multiplicity 8)
Cu 0.000 0.000 0.000 (multiplicity 4)
Ni 0.000 0.000 0.500 (multiplicity 4)
F 0.000 0.000 0.254 (multiplicity 24)

---

No. 5
MnCuF6: computed XRD peak list (Cu Kα X-rays), based on a cell relaxed with GGA+U.

Peak list (6 most intense, 15° ≤ 2θ ≤ 90°, by angle)
d/Å	I_rel	h k l
3.755	55	0 1 0
3.632	100	1 0 -1
2.675	24	-1 1 1
1.816	18	2 0 -2
1.702	15	1 1 1
1.666	14	-2 1 2

Crystal structure
a b c (Å): 4.999 5.102 5.297
angles (deg): 117.86 90.02 119.31
Space group P-1 (No. 2)
Unique sites:
Mn 0.000 0.000 0.000 (multiplicity 1)
Cu 0.500 0.000 0.500 (multiplicity 1)
F 0.125 0.880 0.240 (multiplicity 2)
F 0.242 0.882 0.754 (multiplicity 2)
F 0.350 0.461 0.233 (multiplicity 2)

---

No. 6
Rb2MnCuF6: computed XRD peak list (Cu Kα X-rays), based on a cell relaxed with GGA+U.

Peak list (6 most intense, 15° ≤ 2θ ≤ 90°, by angle)
d/Å	I_rel	h k l
2.976	100	2 2 0
2.104	46	4 0 0
1.718	39	4 2 2
1.488	27	4 4 0
1.331	17	6 2 0
1.125	20	6 4 2

Crystal structure
a b c (Å): 8.417 8.417 8.417
angles (deg): 90.00 90.00 90.00
Space group Fm-3m (No. 225)
Unique sites:
Rb 0.250 0.250 0.250 (multiplicity 8)
Mn 0.000 0.000 0.000 (multiplicity 4)
Cu 0.000 0.000 0.500 (multiplicity 4)
F 0.000 0.000 0.244 (multiplicity 24)

---

No. 7
Rb2CuNiF6: computed XRD peak list (Cu Kα X-rays), based on a cell relaxed with GGA+U.

Peak list (6 most intense, 15° ≤ 2θ ≤ 90°, by angle)
d/Å	I_rel	h k l
2.921	100	2 2 0
2.066	45	4 0 0
1.687	39	4 2 2
1.461	26	4 4 0
1.306	17	6 2 0
1.104	20	6 4 2

Crystal structure
a b c (Å): 8.263 8.263 8.263
angles (deg): 90.00 90.00 90.00
Space group Fm-3m (No. 225)
Unique sites:
Rb 0.250 0.250 0.250 (multiplicity 8)
Cu 0.000 0.000 0.000 (multiplicity 4)
Ni 0.000 0.000 0.500 (multiplicity 4)
F 0.000 0.000 0.255 (multiplicity 24)

---

No. 8
RbVCuF6: computed XRD peak list (Cu Kα X-rays), based on a cell relaxed with GGA+U.

Peak list (6 most intense, 15° ≤ 2θ ≤ 90°, by angle)
d/Å	I_rel	h k l
3.671	43	1 1 2
3.198	100	1 2 1
3.172	62	0 1 3
3.116	50	1 0 3
3.036	77	2 1 1
1.835	63	2 2 4

Crystal structure
a b c (Å): 6.971 7.667 10.452
angles (deg): 90.00 90.00 90.00
Space group Pnma (No. 62)
Unique sites:
Rb 0.010 0.250 0.124 (multiplicity 4)
V 0.000 0.000 0.500 (multiplicity 4)
Cu 0.209 0.250 0.756 (multiplicity 4)
F 0.046 0.750 0.175 (multiplicity 4)
F 0.070 0.250 0.485 (multiplicity 4)
F 0.148 0.509 0.656 (multiplicity 8)
F 0.230 0.550 0.403 (multiplicity 8)